No. 1
For AgIrCl, a structure optimized by DFT (PBE) gives the simulated powder XRD pattern in this record (Cu Kα, 1.54184 Å).

Structural model:
a = 3.593 Å, b = 3.112 Å, c = 10.847 Å
α = 90.00°, β = 99.13°, γ = 90.00°
Fractional coordinates of all 6 atoms:
Ag1 0.000 0.000 0.000
Ag2 0.429 0.500 0.852
Ir1 0.304 0.500 0.591
Ir2 0.854 0.000 0.696
Cl1 0.222 0.000 0.420
Cl2 0.560 0.500 0.126

Principal peaks in the range 2θ from 10° to 80°, low angle first:
two_theta  Rel. int.
16.56  199
32.64  90
38.38  346
38.51  1000
38.79  216
44.65  290
50.83  136
59.41  84

No. 2
For Ag4IrCl2, a structure optimized by DFT (PBE) gives the simulated powder XRD pattern in this record (Cu Kα, 1.54184 Å).

Structural model:
a = 7.746 Å, b = 7.746 Å, c = 7.746 Å
α = 140.94°, β = 140.94°, γ = 56.44°
Fractional coordinates of all 7 atoms:
Ag1 0.000 0.500 0.500
Ag2 0.192 0.192 0.000
Ag3 0.500 0.000 0.500
Ag4 0.808 0.808 0.000
Ir1 0.000 0.000 0.000
Cl1 0.369 0.369 0.000
Cl2 0.631 0.631 0.000

Principal peaks in the range 2θ from 10° to 80°, low angle first:
two_theta  Rel. int.
12.97  588
18.32  882
24.30  342
34.64  1000
37.21  839
49.79  344
51.75  564
53.63  359

No. 3
For La3AgIrCl, a structure optimized by DFT (PBE) gives the simulated powder XRD pattern in this record (Cu Kα, 1.54184 Å).

Structural model:
a = 8.550 Å, b = 4.373 Å, c = 9.702 Å
α = 90.00°, β = 98.83°, γ = 90.00°
Fractional coordinates of all 12 atoms:
La1 0.064 0.250 0.343
La2 0.213 0.250 0.947
La3 0.373 0.750 0.614
La4 0.627 0.250 0.386
La5 0.787 0.750 0.053
La6 0.936 0.750 0.657
Ag1 0.299 0.750 0.244
Ag2 0.701 0.250 0.756
Ir1 0.162 0.250 0.645
Ir2 0.838 0.750 0.355
Cl1 0.425 0.750 0.904
Cl2 0.575 0.250 0.096

Principal peaks in the range 2θ from 10° to 80°, low angle first:
two_theta  Rel. int.
27.92  341
29.40  1000
29.85  663
31.41  426
35.08  357
41.29  354
44.83  267
45.54  265